Structure and theoretical powder diffraction line list of Na2Re3S6 (DFT lattice parameters and positions (GGA-PBE); Cu Ka).
No peak broadening, texture or thermal motion is included.

The 10 most intense peaks (2θ from 5° to 70°), in order of falling intensity:
- (1 1 1), 13.2 deg, intensity 100
- (2 0 0), 11.0 deg, intensity 95
- (1 1 -1), 12.9 deg, intensity 91
- (0 0 2), 15.2 deg, intensity 20
- (3 3 3), 40.5 deg, intensity 15
- (4 2 -5), 47.9 deg, intensity 13
- (3 1 5), 44.3 deg, intensity 13
- (4 0 4), 39.3 deg, intensity 10
- (2 0 4), 33.3 deg, intensity 10
- (3 1 -4), 35.6 deg, intensity 9

Crystal structure
```
data_Na2Re3S6
_chemical_formula_sum 'Na16 Re24 S48'
_space_group_name_H-M_alt 'C 1 2/c 1'
_space_group_IT_number 15
_space_group_name_Hall '-C 2yc'
_cell_length_a 16.0468
_cell_length_b 9.7426
_cell_length_c 11.6512
_cell_angle_alpha 90.00
_cell_angle_beta 93.07
_cell_angle_gamma 90.00
loop_
_atom_site_label
_atom_site_fract_x
_atom_site_fract_y
_atom_site_fract_z
Na1 0.0000 0.0842 0.2500
Na2 0.0000 0.2839 0.7500
Na3 0.1274 0.2640 0.0022
Re1 0.1562 0.3570 0.4679
Re2 0.2021 0.1068 0.4117
Re3 0.2019 0.1800 0.6307
S1 0.0335 0.4996 0.4245
S2 0.0734 0.1560 0.5087
S3 0.1346 0.0896 0.8026
S4 0.1630 0.2799 0.2700
S5 0.1633 0.4136 0.6692
S6 0.2474 0.0436 0.0690
```